(1)
The following is a calculated powder diffraction line list of NaMgCdAg. It was derived from a structure optimized by DFT (GGA-PBE), using Cu Kα X-rays.

Most intense lines, 15° ≤ 2θ ≤ 90°, most intense first:
index	2θ (°)	I (rel.)
1 0 2	35.02	100
1 0 0	27.22	44
1 1 0	38.88	41
0 0 2	21.61	34
2 1 2	67.92	26
1 1 2	44.91	19
1 1 4	60.18	14
2 0 0	56.15	13

Crystal structure
```
NaMgCdAg
1.0
3.276 0.000 0.000
0.000 3.276 0.000
0.000 0.000 8.224
Na Mg Cd Ag
1 1 1 1
direct
0.000 0.000 0.000 Na
0.000 0.000 0.462 Mg
0.500 0.500 0.712 Cd
0.500 0.500 0.264 Ag
```



(2)
The following is a calculated powder diffraction line list of TmZrGaPd. It was derived from a structure optimized by DFT (GGA-PBE), using Cu Kα X-rays.

Most intense lines, 15° ≤ 2θ ≤ 90°, most intense first:
index	2θ (°)	I (rel.)
2 2 0	37.00	100
4 2 2	66.69	35
4 0 0	53.33	17
4 4 0	78.79	11
1 1 1	22.41	8
3 1 1	43.69	4
2 0 0	25.93	4
3 3 1	58.56	2

Crystal structure
```
TmZrGaPd
1.0
6.871 0.000 0.000
0.000 6.871 0.000
0.000 0.000 6.871
Tm Zr Ga Pd
4 4 4 4
direct
0.000 0.000 0.000 Tm
0.000 0.500 0.500 Tm
0.500 0.000 0.500 Tm
0.500 0.500 0.000 Tm
0.000 0.000 0.500 Zr
0.000 0.500 0.000 Zr
0.500 0.000 0.000 Zr
0.500 0.500 0.500 Zr
0.250 0.250 0.250 Ga
0.250 0.750 0.750 Ga
0.750 0.250 0.750 Ga
0.750 0.750 0.250 Ga
0.250 0.250 0.750 Pd
0.250 0.750 0.250 Pd
0.750 0.250 0.250 Pd
0.750 0.750 0.750 Pd
```



Repeat the second record exactly.
The following is a calculated powder diffraction line list of TmZrGaPd. It was derived from a structure optimized by DFT (GGA-PBE), using Cu Kα X-rays.

Most intense lines, 15° ≤ 2θ ≤ 90°, most intense first:
index	2θ (°)	I (rel.)
2 2 0	37.00	100
4 2 2	66.69	35
4 0 0	53.33	17
4 4 0	78.79	11
1 1 1	22.41	8
3 1 1	43.69	4
2 0 0	25.93	4
3 3 1	58.56	2

Crystal structure
```
TmZrGaPd
1.0
6.871 0.000 0.000
0.000 6.871 0.000
0.000 0.000 6.871
Tm Zr Ga Pd
4 4 4 4
direct
0.000 0.000 0.000 Tm
0.000 0.500 0.500 Tm
0.500 0.000 0.500 Tm
0.500 0.500 0.000 Tm
0.000 0.000 0.500 Zr
0.000 0.500 0.000 Zr
0.500 0.000 0.000 Zr
0.500 0.500 0.500 Zr
0.250 0.250 0.250 Ga
0.250 0.750 0.750 Ga
0.750 0.250 0.750 Ga
0.750 0.750 0.250 Ga
0.250 0.250 0.750 Pd
0.250 0.750 0.250 Pd
0.750 0.250 0.250 Pd
0.750 0.750 0.750 Pd
```



What is the formula in the second record?
TmZrGaPd